Calculated powder diffractogram of La2CePu for CuKα, from a crystal structure in Alexandria, relaxed with PBE.
Peak positions follow from Bragg's law for the DFT cell and can differ from measured ones.

Atomic structure:
Unit cell a=12.3680 b=12.3680 c=12.3680 alpha=16.22 beta=16.22 gamma=16.22
Element x y z (fractional)
La: 0.0892 0.0892 0.0892
La: 0.9108 0.9108 0.9108
Ce: 0.5000 0.5000 0.5000
Pu: 0.0000 0.0000 0.0000

Most intense lines, 10° ≤ 2θ ≤ 80°, low angle first:
- d 3.051, I 56
- d 3.013, I 45
- d 2.983, I 100
- d 2.331, I 72
- d 1.745, I 39
- d 1.515, I 42

Calculated powder diffractogram of Nd3ErPu2Se6 for CuKα, from a crystal structure in Alexandria, relaxed with PBE.
Peak positions follow from Bragg's law for the DFT cell and can differ from measured ones.

Atomic structure:
Unit cell a=7.1940 b=7.1940 c=7.2690 alpha=99.49 beta=99.49 gamma=120.01
Element x y z (fractional)
Nd: 0.0000 0.0000 0.0000
Nd: 0.3310 0.6690 0.0000
Nd: 0.6690 0.3310 0.0000
Er: 0.5000 0.5000 0.5000
Pu: 0.1662 0.8338 0.5000
Pu: 0.8338 0.1662 0.5000
Se: 0.0919 0.4209 0.2619
Se: 0.2520 0.2520 0.7415
Se: 0.4209 0.0919 0.2619
Se: 0.5791 0.9081 0.7381
Se: 0.7480 0.7480 0.2585
Se: 0.9081 0.5791 0.7381

Most intense lines, 10° ≤ 2θ ≤ 80°, low angle first:
- d 3.395, I 20
- d 2.948, I 100
- d 2.093, I 38
- d 2.077, I 37
- d 1.698, I 20
- d 1.323, I 17